# 1
# Li14P2N6O3
Theoretical powder diffraction line list, CuKα. Input: the PBE geometry in the Materials Project.

Structural model:
Cell: 5.6986 5.6986 8.0720 Å, 90.00 90.00 120.00°
Space group P-3 (No. 147)
Asymmetric unit:
Li  0.0000  0.0000  0.2503 x2
Li  0.0429  0.3528  0.0892 x6
Li  0.0827  0.7043  0.4090 x6
P  0.3333  0.6667  0.7259 x2
N  0.0713  0.6944  0.6742 x6
O  0.0000  0.0000  0.0000 x1
O  0.3333  0.6667  0.9464 x2

Most intense lines, 5° ≤ 2θ ≤ 70°, most intense first:
d (Å), I_rel, index
4.211, 100.0, 1 0 1
2.688, 47.8, 0 0 3
1.646, 40.1, 3 0 0
1.817, 13.7, 3 -2 1
2.361, 12.7, 0 2 1
1.867, 11.6, 0 1 4
2.849, 11.1, 1 1 0
1.350, 10.3, 0 2 5
4.935, 9.6, 1 0 0
4.036, 6.6, 0 0 2

# 2
# LiSNO4
Theoretical powder diffraction line list, CuKα. Input: the PBE geometry in the Materials Project.

Structural model:
Cell: 9.391 9.486 5.565 Å, 90.00 90.00 90.00°
Space group Pna2_1 (No. 33)
Asymmetric unit:
Li  0.181  0.099  0.000 x4
S  0.183  0.918  0.505 x4
N  0.004  0.706  0.999 x4
O  0.029  0.881  0.519 x4
O  0.200  0.036  0.331 x4
O  0.232  0.962  0.746 x4
O  0.240  0.291  0.923 x4

Most intense lines, 5° ≤ 2θ ≤ 70°, most intense first:
d (Å), I_rel, index
4.274, 100.0, 1 1 1
6.674, 89.0, 1 1 0
3.369, 50.5, 1 2 1
4.800, 43.8, 0 1 1
4.696, 41.8, 2 0 0
4.234, 40.4, 1 2 0
3.357, 31.2, 2 1 1
2.749, 29.1, 0 3 1
2.973, 23.9, 3 1 0
3.337, 23.6, 2 2 0